No. 1
Nd2Sm2C2Br2Cl3: computed powder X-ray diffraction pattern (Cu Ka), based on the PBE geometry in OQMD.
Neutral-atom scattering factors, no anomalous dispersion.

Peak list (10 most intense, 10° ≤ 2θ ≤ 90°, in order of rising 2θ)
Position (°2θ)	Rel. int.
11.50	87
25.64	18
27.15	27
28.77	71
32.27	100
33.32	27
43.02	35
44.52	41
46.89	20
55.95	21

Structural model:
a b c (Å): 9.8145 9.8145 7.9526
angles (deg): 104.31 104.31 22.77
Fractional coordinates of all 11 atoms:
Nd 0.0012 0.0012 0.2108
Nd 0.9988 0.9988 0.7892
Sm 0.3432 0.3432 0.8936
Sm 0.6568 0.6568 0.1064
C 0.4622 0.4622 0.9762
C 0.5378 0.5378 0.0238
Br 0.1687 0.1687 0.8303
Br 0.8313 0.8313 0.1697
Cl 0.1589 0.1589 0.3577
Cl 0.5000 0.5000 0.5000
Cl 0.8411 0.8411 0.6423

---

No. 2
LaPr2InBr3: computed powder X-ray diffraction pattern (Cu Ka), based on the PBE geometry in OQMD.
Neutral-atom scattering factors, no anomalous dispersion.

Peak list (10 most intense, 10° ≤ 2θ ≤ 90°, in order of rising 2θ)
Position (°2θ)	Rel. int.
14.29	39
28.72	51
28.87	100
32.35	15
41.18	76
41.29	38
51.07	40
67.44	17
67.72	34
75.20	25

Structural model:
a b c (Å): 6.1847 6.1847 6.2171
angles (deg): 90.00 90.00 90.00
Fractional coordinates of all 7 atoms:
La 0.0000 0.0000 0.0000
Pr 0.0000 0.5000 0.5000
Pr 0.5000 0.0000 0.5000
In 0.0000 0.0000 0.5000
Br 0.0000 0.5000 0.0000
Br 0.5000 0.0000 0.0000
Br 0.5000 0.5000 0.5000

---

No. 3
Y2SiGeIr: computed powder X-ray diffraction pattern (Cu Ka), based on the PBE geometry in OQMD.
Neutral-atom scattering factors, no anomalous dispersion.

Peak list (10 most intense, 10° ≤ 2θ ≤ 90°, in order of rising 2θ)
Position (°2θ)	Rel. int.
16.63	38
27.41	44
33.55	100
36.84	65
38.45	19
40.30	45
40.90	45
42.77	37
60.22	27
65.07	19

Structural model:
a b c (Å): 5.7399 5.7399 10.1938
angles (deg): 116.49 116.49 43.22
Fractional coordinates of all 10 atoms:
Y 0.0041 0.0041 0.1739
Y 0.1836 0.1836 0.6119
Y 0.8164 0.8164 0.3881
Y 0.9959 0.9959 0.8261
Si 0.3573 0.3573 0.9338
Si 0.6427 0.6427 0.0662
Ge 0.4811 0.4811 0.6248
Ge 0.5189 0.5189 0.3752
Ir 0.2691 0.2691 0.1204
Ir 0.7309 0.7309 0.8796

---

No. 4
DyYMg6: computed powder X-ray diffraction pattern (Cu Ka), based on the PBE geometry in OQMD.
Neutral-atom scattering factors, no anomalous dispersion.

Peak list (10 most intense, 10° ≤ 2θ ≤ 90°, in order of rising 2θ)
Position (°2θ)	Rel. int.
14.67	49
22.86	50
23.87	34
24.59	18
27.36	14
32.66	50
34.54	100
35.29	27
48.87	15
62.86	17

Structural model:
a b c (Å): 5.0869 6.5645 6.5645
angles (deg): 66.93 90.00 90.00
Fractional coordinates of all 8 atoms:
Dy 0.0000 0.0000 0.0000
Y 0.5000 0.2661 0.2661
Mg 0.0000 0.4625 0.4625
Mg 0.0000 0.5151 0.9486
Mg 0.0000 0.9486 0.5151
Mg 0.5000 0.3165 0.7515
Mg 0.5000 0.7515 0.3165
Mg 0.5000 0.8039 0.8039

---

No. 5
LaPr2NdSe3O4: computed powder X-ray diffraction pattern (Cu Ka), based on the PBE geometry in OQMD.
Neutral-atom scattering factors, no anomalous dispersion.

Peak list (10 most intense, 10° ≤ 2θ ≤ 90°, in order of rising 2θ)
Position (°2θ)	Rel. int.
25.02	54
30.16	100
31.25	53
34.71	27
41.62	15
44.70	20
46.64	23
51.90	15
53.03	16
58.78	14

Structural model:
a b c (Å): 8.5009 6.8186 6.8186
angles (deg): 34.60 90.00 90.00
Fractional coordinates of all 11 atoms:
La 0.0000 0.0000 0.0000
Pr 0.2640 0.6684 0.6684
Pr 0.7360 0.6684 0.6684
Nd 0.5000 0.9847 0.9847
Se 0.1487 0.3379 0.3379
Se 0.5000 0.2979 0.2979
Se 0.8513 0.3379 0.3379
O 0.0000 0.5997 0.5997
O 0.2578 0.0713 0.0713
O 0.5000 0.5708 0.5708
O 0.7422 0.0713 0.0713

---

No. 6
CsTaCl6: computed powder X-ray diffraction pattern (Cu Ka), based on the PBE geometry in OQMD.
Neutral-atom scattering factors, no anomalous dispersion.

Peak list (10 most intense, 10° ≤ 2θ ≤ 90°, in order of rising 2θ)
Position (°2θ)	Rel. int.
16.40	31
17.76	100
18.36	56
22.93	35
25.55	40
25.76	31
31.31	33
31.84	25
32.33	24
41.39	22

Structural model:
a b c (Å): 6.9691 6.9691 12.4689
angles (deg): 101.01 101.01 55.81
Fractional coordinates of all 16 atoms:
Cs 0.1221 0.8779 0.5000
Cs 0.8779 0.1221 0.0000
Ta 0.5000 0.9988 0.2502
Ta 0.9988 0.5000 0.7502
Cl 0.1105 0.2011 0.2921
Cl 0.2011 0.1105 0.7921
Cl 0.2025 0.3685 0.5929
Cl 0.2955 0.5436 0.8567
Cl 0.3685 0.2025 0.0929
Cl 0.4564 0.7020 0.1441
Cl 0.5436 0.2955 0.3567
Cl 0.6323 0.7952 0.4076
Cl 0.7020 0.4564 0.6441
Cl 0.7952 0.6323 0.9076
Cl 0.7966 0.8898 0.7085
Cl 0.8898 0.7966 0.2085

---

No. 7
ErTmSiCl2: computed powder X-ray diffraction pattern (Cu Ka), based on the PBE geometry in OQMD.
Neutral-atom scattering factors, no anomalous dispersion.

Peak list (10 most intense, 10° ≤ 2θ ≤ 90°, in order of rising 2θ)
Position (°2θ)	Rel. int.
18.52	18
25.77	24
27.42	52
31.92	100
38.36	14
45.44	32
46.09	36
56.60	19
75.39	16
76.36	14

Structural model:
a b c (Å): 3.9923 3.9923 9.5831
angles (deg): 90.00 90.00 120.00
Fractional coordinates of all 5 atoms:
Er 0.0000 0.0000 0.0000
Tm 0.6667 0.3333 0.3332
Si 0.3333 0.6667 0.1673
Cl 0.0000 0.0000 0.4958
Cl 0.6667 0.3333 0.8359

---

No. 8
Hf3B4As: computed powder X-ray diffraction pattern (Cu Ka), based on the PBE geometry in OQMD.
Neutral-atom scattering factors, no anomalous dispersion.

Peak list (10 most intense, 10° ≤ 2θ ≤ 90°, in order of rising 2θ)
Position (°2θ)	Rel. int.
25.71	77
29.73	31
30.58	47
34.72	100
39.70	91
40.37	99
43.70	59
64.78	34
66.52	40
72.72	35

Structural model:
a b c (Å): 3.1982 3.4655 8.7698
angles (deg): 90.00 90.00 90.00
Fractional coordinates of all 8 atoms:
Hf 0.0000 0.0000 0.0000
Hf 0.5000 0.0000 0.3120
Hf 0.5000 0.0000 0.6880
B 0.0000 0.5000 0.2014
B 0.0000 0.5000 0.7986
B 0.5000 0.5000 0.1087
B 0.5000 0.5000 0.8913
As 0.0000 0.5000 0.5000